Entry 1:
For SrCdB2O5, a structure optimized by DFT (GGA-PBE) gives the calculated powder diffraction line list in this record (a wavelength of 1.5418 Å).

Top 8 peaks for 2θ from 15° to 90°, by intensity:
d (Å)	two_theta	I (rel.)
2.820	31.7	100
2.968	30.1	58
3.374	26.4	47
3.026	29.5	44
3.818	23.3	26
5.621	15.8	25
1.823	50.0	23
2.540	35.3	23

Structure:
```
SrCdB2O5
1.0
3.815 -5.081 0.000
3.815 5.081 0.000
-1.841 0.000 10.969
Sr Cd B O
4 4 8 20
Cartesian
2.434 3.769 8.226
3.355 1.869 2.742
2.434 -1.869 8.226
3.355 -3.769 2.742
1.549 0.998 6.114
2.469 -0.998 0.629
3.319 0.998 10.339
4.240 -0.998 4.855
1.269 3.696 10.920
0.540 0.981 9.111
3.599 3.696 5.533
1.461 -0.981 3.627
4.328 0.981 7.341
2.190 -3.696 5.436
5.248 -0.981 1.857
4.519 -3.696 0.049
2.750 3.911 1.312
0.864 1.834 8.111
1.505 0.987 1.072
2.382 3.099 5.753
3.959 3.911 4.172
2.486 3.099 10.700
0.584 -0.987 6.556
2.198 0.078 4.074
1.278 -0.078 9.558
1.785 -1.834 2.627
4.004 1.834 8.341
4.511 0.078 1.411
3.590 -0.078 6.895
5.204 0.987 4.413
3.302 -3.099 0.269
1.830 -3.911 6.796
3.407 -3.099 5.216
4.284 -0.987 9.897
4.925 -1.834 2.857
3.038 -3.911 9.657
```

***

Entry 2:
For HoErNCl2, a structure optimized by DFT (GGA-PBE) gives the calculated powder diffraction line list in this record (a wavelength of 1.5418 Å).

Top 8 peaks for 2θ from 15° to 90°, by intensity:
d (Å)	two_theta	I (rel.)
2.623	34.2	100
2.945	30.4	37
2.262	39.9	36
3.082	29.0	25
1.779	51.4	24
1.676	54.8	17
1.472	63.1	17
1.134	85.6	14

Structure:
```
HoErNCl2
1.0
3.558 0.000 0.000
-1.779 3.082 0.000
0.000 0.000 9.989
Ho Er N Cl
1 1 1 2
Cartesian
0.000 0.000 0.000
0.000 2.054 2.572
1.779 1.027 1.302
0.000 0.000 4.333
0.000 2.054 8.216
```

***

Entry 3:
For Li2Cd3InAu2, a structure optimized by DFT (GGA-PBE) gives the calculated powder diffraction line list in this record (a wavelength of 1.5418 Å).

Top 8 peaks for 2θ from 15° to 90°, by intensity:
d (Å)	two_theta	I (rel.)
2.353	38.2	100
3.843	23.1	47
1.359	69.1	34
2.007	45.2	25
1.664	55.2	17
1.177	81.9	11
1.527	60.6	11
1.125	86.5	8

Structure:
```
Li2Cd3InAu2
1.0
4.706 0.000 0.000
0.000 4.706 0.000
0.000 0.000 6.661
Li Cd In Au
2 3 1 2
Cartesian
0.000 2.353 1.649
2.353 0.000 5.011
0.000 0.000 0.000
2.353 2.353 0.000
2.353 2.353 3.330
0.000 0.000 3.330
0.000 2.353 4.985
2.353 0.000 1.676
```

***

Entry 4:
For RbMo6Se7, a structure optimized by DFT (GGA-PBE) gives the calculated powder diffraction line list in this record (a wavelength of 1.5418 Å).

Top 8 peaks for 2θ from 15° to 90°, by intensity:
d (Å)	two_theta	I (rel.)
2.079	43.5	100
2.659	33.7	34
3.139	28.4	32
2.073	43.7	28
2.298	39.2	28
1.783	51.3	27
2.774	32.3	26
2.164	41.7	23

Structure:
```
RbMo6Se7
1.0
4.805 2.774 8.293
-4.805 2.774 8.293
0.000 -5.548 8.293
Rb Mo Se
2 12 14
Cartesian
0.000 0.000 3.262
0.000 0.000 21.618
-0.926 -1.226 9.007
-1.546 0.133 11.335
-0.888 -1.273 13.545
-0.599 1.415 9.007
0.658 -1.405 11.335
-1.525 0.189 15.872
1.525 -0.189 9.007
-0.658 1.405 13.545
0.599 -1.415 15.872
0.888 1.273 11.335
1.546 -0.132 13.545
0.926 1.226 15.872
-3.006 0.342 9.214
-1.733 -2.472 11.264
-3.007 0.265 13.615
0.000 0.000 6.985
-1.799 -2.432 15.666
1.207 -2.774 9.214
-1.274 2.736 11.264
1.274 -2.736 13.615
-1.207 2.774 15.666
1.799 2.432 9.214
0.000 0.000 17.894
3.007 -0.265 11.264
1.733 2.472 13.615
3.006 -0.342 15.666
```

***

Entry 5:
For La3Cu4P4, a structure optimized by DFT (GGA-PBE) gives the calculated powder diffraction line list in this record (a wavelength of 1.5418 Å).

Top 8 peaks for 2θ from 15° to 90°, by intensity:
d (Å)	two_theta	I (rel.)
2.604	34.4	100
2.622	34.2	37
2.073	43.7	23
3.606	24.7	20
2.027	44.7	19
1.604	57.5	16
1.902	47.8	15
2.208	40.9	14

Structure:
```
La3Cu4P4
1.0
-2.027 2.074 11.844
2.027 -2.074 11.844
2.027 2.074 -11.844
La Cu P
3 4 4
Cartesian
0.000 0.000 0.000
2.027 0.000 3.496
0.000 2.074 8.347
0.000 0.000 5.916
2.027 0.000 9.549
0.000 2.074 2.295
0.000 0.000 17.772
2.027 0.000 7.236
0.000 0.000 10.663
0.000 0.000 13.025
0.000 2.074 4.608
```

***

Entry 6:
For YNbN2O, a structure optimized by DFT (GGA-PBE) gives the calculated powder diffraction line list in this record (a wavelength of 1.5418 Å).

Top 8 peaks for 2θ from 15° to 90°, by intensity:
d (Å)	two_theta	I (rel.)
2.794	32.0	100
1.600	57.6	33
2.859	31.3	23
2.760	32.4	22
1.986	45.7	21
1.966	46.2	13
1.638	56.2	12
1.397	67.0	10

Structure:
```
YNbN2O
1.0
5.718 0.000 0.000
0.000 7.865 0.000
0.000 0.000 5.520
Y Nb N O
4 4 8 4
Cartesian
0.340 1.966 0.128
2.519 5.899 2.888
3.198 1.966 2.632
5.378 5.899 5.392
0.000 0.000 2.760
0.000 3.933 2.760
2.859 0.000 0.000
2.859 3.933 0.000
1.178 4.418 4.390
1.178 7.379 4.390
1.681 0.486 1.630
1.681 3.447 1.630
4.037 4.418 3.890
4.037 7.379 3.890
4.540 0.486 1.130
4.540 3.447 1.130
0.233 5.899 2.093
2.626 1.966 4.853
3.091 5.899 0.667
5.485 1.966 3.427
```

***

Entry 7:
For HoEr2Co2B2N3, a structure optimized by DFT (GGA-PBE) gives the calculated powder diffraction line list in this record (a wavelength of 1.5418 Å).

Top 8 peaks for 2θ from 15° to 90°, by intensity:
d (Å)	two_theta	I (rel.)
3.049	29.3	100
2.596	34.6	83
2.474	36.3	50
2.432	37.0	42
2.361	38.1	38
1.719	53.3	35
1.412	66.2	33
2.182	41.4	32

Structure:
```
HoEr2Co2B2N3
1.0
-1.719 1.719 9.894
1.719 -1.719 9.894
1.719 1.719 -9.894
Ho Er Co B N
1 2 2 2 3
Cartesian
0.000 0.000 0.000
0.000 0.000 7.453
0.000 0.000 12.335
1.719 0.000 4.947
0.000 1.719 4.947
0.000 0.000 3.819
0.000 0.000 15.969
0.000 0.000 2.313
0.000 0.000 9.894
0.000 0.000 17.475
```

***

Entry 8:
For CsKCuP, a structure optimized by DFT (GGA-PBE) gives the calculated powder diffraction line list in this record (a wavelength of 1.5418 Å).

Top 8 peaks for 2θ from 15° to 90°, by intensity:
d (Å)	two_theta	I (rel.)
3.195	27.9	100
2.845	31.4	75
3.116	28.7	68
2.670	33.6	55
4.328	20.5	50
2.762	32.4	42
3.238	27.6	35
2.592	34.6	32

Structure:
```
CsKCuP
1.0
6.320 0.000 0.000
0.000 5.964 0.000
-2.096 0.000 6.289
Cs K Cu P
2 2 2 2
Cartesian
-0.157 1.491 1.162
4.381 4.473 5.127
0.968 4.473 3.140
3.256 1.491 3.149
3.160 0.000 0.000
3.160 2.982 0.000
0.326 1.491 4.775
3.898 4.473 1.515
```

***

Entry 9:
For Ni15Bi, a structure optimized by DFT (GGA-PBE) gives the calculated powder diffraction line list in this record (a wavelength of 1.5418 Å).

Top 8 peaks for 2θ from 15° to 90°, by intensity:
d (Å)	two_theta	I (rel.)
1.808	50.5	100
2.057	44.0	86
1.986	45.7	74
2.124	42.6	59
2.046	44.3	53
2.325	38.7	21
1.097	89.3	20
1.246	76.4	19

Structure:
```
Ni15Bi
1.0
4.977 0.000 0.000
0.000 2.634 0.000
-0.001 0.000 39.537
Ni Bi
30 2
Cartesian
0.589 0.658 10.851
0.622 0.658 0.832
0.621 0.658 4.172
0.622 0.658 30.366
0.622 0.658 33.688
0.622 0.658 37.023
0.628 0.658 7.505
1.833 1.975 28.686
1.866 1.975 2.514
1.866 1.975 5.845
1.866 1.975 9.196
1.866 1.975 12.441
1.865 1.975 35.364
1.866 1.975 38.705
1.872 1.975 32.031
3.105 0.658 7.506
3.111 0.658 0.832
3.111 0.658 4.173
3.110 0.658 27.096
3.110 0.658 30.341
3.110 0.658 33.692
3.110 0.658 37.023
3.144 0.658 10.851
4.349 1.975 32.031
4.355 1.975 2.514
4.355 1.975 5.849
4.355 1.975 9.170
4.355 1.975 35.364
4.354 1.975 38.705
4.388 1.975 28.686
0.622 0.658 26.310
4.355 1.975 13.227
```

***

Entry 10:
For ErAl4Ag8, a structure optimized by DFT (GGA-PBE) gives the calculated powder diffraction line list in this record (a wavelength of 1.5418 Å).

Top 8 peaks for 2θ from 15° to 90°, by intensity:
d (Å)	two_theta	I (rel.)
2.319	38.8	100
2.681	33.4	61
2.075	43.6	30
1.338	70.3	27
3.278	27.2	16
1.469	63.3	15
1.754	52.2	12
4.635	19.1	10

Structure:
```
ErAl4Ag8
1.0
-4.635 4.635 2.684
4.635 -4.635 2.684
4.635 4.635 -2.684
Er Al Ag
1 4 8
Cartesian
0.000 0.000 0.000
2.317 2.317 -1.342
2.317 -2.317 1.342
-2.317 2.317 1.342
2.317 2.317 1.342
3.163 0.000 0.000
6.107 0.000 0.000
4.635 2.632 0.000
0.000 3.163 0.000
2.632 4.635 0.000
2.003 0.000 2.684
0.000 6.107 0.000
0.000 2.003 2.684
```

***

Entry 11:
For SmEr2Si4Pd4, a structure optimized by DFT (GGA-PBE) gives the calculated powder diffraction line list in this record (a wavelength of 1.5418 Å).

Top 8 peaks for 2θ from 15° to 90°, by intensity:
d (Å)	two_theta	I (rel.)
2.615	34.3	100
2.460	36.5	82
2.076	43.6	40
2.300	39.2	40
2.054	44.1	37
2.547	35.2	33
2.278	39.6	33
1.460	63.7	26

Structure:
```
SmEr2Si4Pd4
1.0
-2.054 3.499 6.837
2.054 -3.499 6.837
2.054 3.499 -6.837
Sm Er Si Pd
1 2 4 4
Cartesian
0.000 0.000 0.000
2.054 0.000 5.131
0.000 3.499 1.706
0.000 0.000 3.012
2.054 2.246 0.000
0.000 1.253 6.837
0.000 0.000 10.662
2.054 1.415 -2.402
2.054 1.415 2.402
0.000 2.084 4.435
0.000 2.084 9.238
```

***

Entry 12:
For RbGeAu3S4, a structure optimized by DFT (GGA-PBE) gives the calculated powder diffraction line list in this record (a wavelength of 1.5418 Å).

Top 8 peaks for 2θ from 15° to 90°, by intensity:
d (Å)	two_theta	I (rel.)
3.533	25.2	100
2.820	31.7	90
2.620	34.2	76
4.520	19.6	73
2.169	41.6	69
3.285	27.1	62
2.574	34.9	58
4.875	18.2	52

Structure:
```
RbGeAu3S4
1.0
6.116 0.000 0.000
0.000 7.504 0.000
-1.836 0.000 10.498
Rb Ge Au S
2 2 6 8
Cartesian
0.504 1.876 3.675
3.777 5.628 6.824
-0.850 1.876 8.172
5.130 5.628 2.326
2.061 4.180 0.947
2.061 7.076 0.947
2.252 5.628 3.552
2.028 1.876 6.947
2.219 0.428 9.552
2.219 3.324 9.552
0.215 5.628 0.341
0.047 5.628 4.305
0.422 3.763 8.061
0.422 7.492 8.061
3.858 0.012 2.438
3.858 3.740 2.438
4.233 1.876 6.193
4.065 1.876 10.157
```